No. 1
Simulated powder XRD pattern of Dy5Th3Sc2 for copper Kα, from a cell relaxed with GGA-PBE.
Neutral-atom scattering factors, no anomalous dispersion.

Largest 10 diffraction maxima, by angle, 15° ≤ 2θ ≤ 90°:
(2 4 0), 2θ = 30.0°, I 97; (2 2 -3), 2θ = 32.4°, I 100; (0 4 2), 2θ = 33.3°, I 21; (4 0 -2), 2θ = 33.7°, I 48; (0 6 1), 2θ = 34.6°, I 26; (2 6 -1), 2θ = 36.4°, I 22; (4 6 -3), 2θ = 49.1°, I 21; (0 6 3), 2θ = 50.9°, I 18; (4 6 1), 2θ = 62.5°, I 19; (2 10 -3), 2θ = 64.0°, I 28

Structure:
```
data_Dy5Th3Sc2
_symmetry_space_group_name_H-M 'C 1 2/c 1'
_symmetry_Int_Tables_number 15
_symmetry_space_group_name_Hall '-C 2yc'
_cell_length_a 10.6357
_cell_length_b 16.7430
_cell_length_c 8.8099
_cell_angle_alpha 90.00
_cell_angle_beta 127.12
_cell_angle_gamma 90.00
loop_
_atom_site_label
_atom_site_type_symbol
_atom_site_fract_x
_atom_site_fract_y
_atom_site_fract_z
Dy1 Dy 0.0000 0.0325 0.2500
Dy2 Dy 0.0000 0.2228 0.2500
Dy3 Dy 0.0000 0.2826 0.7500
Dy4 Dy 0.2470 0.3741 0.2534
Th1 Th 0.0000 0.4780 0.7500
Th2 Th 0.1394 0.1245 0.0253
Sc1 Sc 0.1455 0.3729 0.5431
```


No. 2
Simulated powder XRD pattern of DyTh4Sc2 for copper Kα, from a cell relaxed with GGA-PBE.
Neutral-atom scattering factors, no anomalous dispersion.

Largest 10 diffraction maxima, by angle, 15° ≤ 2θ ≤ 90°:
(1 1 1), 2θ = 21.7°, I 44; (2 1 1), 2θ = 27.5°, I 25; (3 1 0), 2θ = 30.6°, I 46; (2 2 1), 2θ = 32.3°, I 100; (0 0 2), 2θ = 34.2°, I 33; (3 1 1), 2θ = 35.2°, I 41; (4 0 0), 2θ = 39.0°, I 17; (3 1 2), 2θ = 46.5°, I 30; (2 2 3), 2θ = 60.0°, I 18; (6 2 1), 2θ = 66.4°, I 19

Structure:
```
data_DyTh4Sc2
_symmetry_space_group_name_H-M 'P 42/m n m'
_symmetry_Int_Tables_number 136
_symmetry_space_group_name_Hall '-P 4n 2n'
_cell_length_a 9.2384
_cell_length_b 9.2384
_cell_length_c 5.2469
_cell_angle_alpha 90.00
_cell_angle_beta 90.00
_cell_angle_gamma 90.00
loop_
_atom_site_label
_atom_site_type_symbol
_atom_site_fract_x
_atom_site_fract_y
_atom_site_fract_z
Dy1 Dy 0.0000 0.0000 0.0000
Th1 Th 0.1170 0.3627 0.5000
Sc1 Sc 0.1901 0.8099 0.5000
```


No. 3
Simulated powder XRD pattern of DyThSc6 for copper Kα, from a cell relaxed with GGA-PBE.
Neutral-atom scattering factors, no anomalous dispersion.

Largest 10 diffraction maxima, by angle, 15° ≤ 2θ ≤ 90°:
(1 0 0), 2θ = 15.2°, I 26; (1 0 1), 2θ = 22.5°, I 62; (1 1 0), 2θ = 26.4°, I 27; (2 0 0), 2θ = 30.6°, I 25; (0 0 2), 2θ = 33.4°, I 25; (2 0 1), 2θ = 35.0°, I 100; (2 1 1), 2θ = 44.4°, I 21; (2 2 0), 2θ = 54.4°, I 18; (2 0 3), 2θ = 60.8°, I 19; (2 2 2), 2θ = 65.4°, I 20

Structure:
```
data_DyThSc6
_symmetry_space_group_name_H-M 'P -6 m 2'
_symmetry_Int_Tables_number 187
_symmetry_space_group_name_Hall 'P -6 2'
_cell_length_a 6.7405
_cell_length_b 6.7405
_cell_length_c 5.3619
_cell_angle_alpha 90.00
_cell_angle_beta 90.00
_cell_angle_gamma 120.00
loop_
_atom_site_label
_atom_site_type_symbol
_atom_site_fract_x
_atom_site_fract_y
_atom_site_fract_z
Dy1 Dy 0.0000 0.0000 0.0000
Th1 Th 0.6667 0.3333 0.5000
Sc1 Sc 0.0031 0.5015 0.0000
Sc2 Sc 0.1704 0.3408 0.5000
```


No. 4
Simulated powder XRD pattern of Dy2Th2Sc7 for copper Kα, from a cell relaxed with GGA-PBE.
Neutral-atom scattering factors, no anomalous dispersion.

Largest 10 diffraction maxima, by angle, 15° ≤ 2θ ≤ 90°:
(0 2 2), 2θ = 19.6°, I 54; (1 0 1), 2θ = 26.4°, I 25; (0 2 4), 2θ = 27.5°, I 15; (1 1 2), 2θ = 29.3°, I 16; (0 4 0), 2θ = 32.7°, I 32; (0 0 6), 2θ = 33.5°, I 21; (1 2 3), 2θ = 35.0°, I 100; (1 4 1), 2θ = 42.5°, I 15; (1 2 7), 2θ = 50.6°, I 18; (1 6 3), 2θ = 59.9°, I 18

Structure:
```
data_Dy2Th2Sc7
_symmetry_space_group_name_H-M 'I m m m'
_symmetry_Int_Tables_number 71
_symmetry_space_group_name_Hall '-I 2 2'
_cell_length_a 3.4477
_cell_length_b 10.9576
_cell_length_c 16.0721
_cell_angle_alpha 90.00
_cell_angle_beta 90.00
_cell_angle_gamma 90.00
loop_
_atom_site_label
_atom_site_type_symbol
_atom_site_fract_x
_atom_site_fract_y
_atom_site_fract_z
Dy1 Dy 0.0000 0.0000 0.1881
Th1 Th 0.0000 0.2625 0.0000
Sc1 Sc 0.0000 0.2349 0.3291
Sc2 Sc 0.0000 0.5000 0.1191
Sc3 Sc 0.0000 0.5000 0.5000
```


No. 5
Simulated powder XRD pattern of Dy3Th2Sc6 for copper Kα, from a cell relaxed with GGA-PBE.
Neutral-atom scattering factors, no anomalous dispersion.

Largest 10 diffraction maxima, by angle, 15° ≤ 2θ ≤ 90°:
(0 0 2), 2θ = 16.5°, I 49; (2 0 0), 2θ = 31.1°, I 34; (1 3 1), 2θ = 32.6°, I 100; (0 0 4), 2θ = 33.3°, I 31; (1 3 -3), 2θ = 38.0°, I 45; (2 0 2), 2θ = 38.1°, I 22; (1 3 3), 2θ = 41.7°, I 16; (3 3 -1), 2θ = 54.4°, I 16; (1 3 5), 2θ = 55.4°, I 22; (0 6 4), 2θ = 65.2°, I 18

Structure:
```
data_Dy3Th2Sc6
_symmetry_space_group_name_H-M 'C 1 2/m 1'
_symmetry_Int_Tables_number 12
_symmetry_space_group_name_Hall '-C 2y'
_cell_length_a 5.8414
_cell_length_b 10.1449
_cell_length_c 10.9280
_cell_angle_alpha 90.00
_cell_angle_beta 100.43
_cell_angle_gamma 90.00
loop_
_atom_site_label
_atom_site_type_symbol
_atom_site_fract_x
_atom_site_fract_y
_atom_site_fract_z
Dy1 Dy 0.0000 0.0000 0.0000
Dy2 Dy 0.0000 0.3350 0.0000
Th1 Th 0.0000 0.1659 0.5000
Sc1 Sc 0.2473 0.3340 0.7441
Sc2 Sc 0.2487 0.0000 0.7445
```


No. 6
Simulated powder XRD pattern of Dy5Th2Sc5 for copper Kα, from a cell relaxed with GGA-PBE.
Neutral-atom scattering factors, no anomalous dispersion.

Largest 10 diffraction maxima, by angle, 15° ≤ 2θ ≤ 90°:
(1 1 0), 2θ = 18.2°, I 22; (2 0 1), 2θ = 20.5°, I 14; (0 0 4), 2θ = 32.6°, I 17; (3 1 -3), 2θ = 32.8°, I 100; (0 2 0), 2θ = 32.9°, I 66; (4 0 0), 2θ = 33.0°, I 17; (0 2 4), 2θ = 46.9°, I 13; (4 2 0), 2θ = 47.3°, I 17; (3 3 -3), 2θ = 58.6°, I 19; (7 1 -3), 2θ = 58.8°, I 12

Structure:
```
data_Dy5Th2Sc5
_symmetry_space_group_name_H-M 'C 1 2/m 1'
_symmetry_Int_Tables_number 12
_symmetry_space_group_name_Hall '-C 2y'
_cell_length_a 11.5205
_cell_length_b 5.4520
_cell_length_c 11.6599
_cell_angle_alpha 90.00
_cell_angle_beta 109.50
_cell_angle_gamma 90.00
loop_
_atom_site_label
_atom_site_type_symbol
_atom_site_fract_x
_atom_site_fract_y
_atom_site_fract_z
Dy1 Dy 0.0000 0.0000 0.0000
Dy2 Dy 0.0382 0.0000 0.7146
Dy3 Dy 0.2427 0.5000 0.7579
Th1 Th 0.2107 0.0000 0.5430
Sc1 Sc 0.0000 0.5000 0.5000
Sc2 Sc 0.0454 0.5000 0.2012
Sc3 Sc 0.2056 0.5000 0.0367
```